The following is a calculated powder diffraction line list of Li3Zn2Cd3. It was derived from a GGA-PBE-relaxed structure, using λ = 1.5418 Å (Cu Kα).
Neutral-atom scattering factors, no anomalous dispersion.

Cell and atoms:
abc: 3.477 4.417 9.442
angles: 102.86 100.51 90.18
Space group P-1 (No. 2)
Inequivalent atoms, fractional coordinates:
Li 0.000 0.000 0.000 (multiplicity 1)
Li 0.132 0.631 0.262 (multiplicity 2)
Zn 0.249 0.251 0.502 (multiplicity 2)
Cd 0.370 0.872 0.743 (multiplicity 2)
Cd 0.500 0.500 0.000 (multiplicity 1)

The 6 most intense peaks (2θ = 5–70°), in order of rising 2θ:
24.9 deg, rel. 46, hkl 0 1 1
25.1 deg, rel. 45, hkl 0 1 -2
26.1 deg, rel. 76, hkl 1 0 -1
38.4 deg, rel. 100, hkl 1 1 1
38.6 deg, rel. 49, hkl 1 -1 2
38.7 deg, rel. 49, hkl 1 1 -3